Na3FeGe: theoretical powder diffractogram (λ = 1.5418 Å (Cu Kα)), based on a GGA-PBE-relaxed structure.

Structural model:
```
5
Lattice="5.562 0.000 0.000 0.000 5.562 0.000 0.000 0.000 5.562" Properties=species:S:1:pos:R:3 pbc="T T T"
Na 0.000 0.000 2.781
Na 0.000 2.781 0.000
Na 2.781 0.000 0.000
Fe 2.781 2.781 2.781
Ge 0.000 0.000 0.000
```

Largest 12 diffraction maxima, low angle first, 5° ≤ 2θ ≤ 70°:
2θ/deg, d_spacing, Rel. int.
15.9, 5.562, 15
22.6, 3.933, 100
27.8, 3.211, 11
32.2, 2.781, 72
36.1, 2.487, 8
39.7, 2.271, 45
46.2, 1.966, 51
49.1, 1.854, 4
52.0, 1.759, 20
57.4, 1.606, 17
62.5, 1.486, 22
67.3, 1.390, 7